Diffraction record for NaYSnWO6. The powder diffractogram is theoretical, not measured: it uses the PBE+U geometry in the Materials Project and Cu Kα (λ = 1.5418 Å).
Neutral-atom scattering factors, no anomalous dispersion.

The 12 most intense peaks (2θ from 10° to 90°), in order of rising 2θ:
- 18.41 deg, I 28.6, hkl 1 1 1
- 21.29 deg, I 21.9, hkl 2 0 0
- 30.29 deg, I 100.0, hkl 2 2 0
- 35.68 deg, I 14.9, hkl 3 1 1
- 43.36 deg, I 32.8, hkl 4 0 0
- 48.79 deg, I 8.3, hkl 4 2 0
- 53.81 deg, I 40.8, hkl 4 2 2
- 57.36 deg, I 6.2, hkl 5 1 1
- 63.00 deg, I 20.2, hkl 4 4 0
- 71.49 deg, I 18.4, hkl 6 2 0
- 79.57 deg, I 6.7, hkl 4 4 4
- 87.45 deg, I 22.4, hkl 6 4 2

Cell and atoms:
a b c (Å): 8.3465 8.3465 8.3465
angles (deg): 90.00 90.00 90.00
Space group F-43m (No. 216)
Unique sites:
Na1 0.0000 0.0000 0.0000
Y1 0.2500 0.2500 0.2500
Sn1 0.0000 0.0000 0.5000
W1 0.2500 0.2500 0.7500
O1 0.0169 0.2500 0.7500